Entry 1:
For Ho2TmAgHg4, a cell relaxed with GGA-PBE gives the computed PXRD pattern in this record (Cu Kα X-rays).

Cell and atoms:
abc: 5.0907 5.0907 25.4845
angles: 90.00 90.00 120.00
Space group R-3m (No. 166, hexagonal axes)
Asymmetric unit:
Ho 0.0000 0.0000 0.2430 x6
Tm 0.0000 0.0000 0.0000 x3
Ag 0.0000 0.0000 0.5000 x3
Hg 0.0000 0.0000 0.1232 x6
Hg 0.0000 0.0000 0.3719 x6

Largest 10 diffraction maxima, low angle first, 10° ≤ 2θ ≤ 90°:
h k l, Position (°2θ), I_rel
0 1 8, 34.7, 1000
1 1 0, 35.3, 999
2 0 8, 50.3, 353
1 0 16, 61.9, 169
1 2 8, 62.9, 362
3 0 0, 63.3, 185
0 2 16, 73.3, 104
2 2 0, 74.6, 116
2 1 16, 84.1, 149
3 1 8, 85.0, 163


Entry 2:
For Ag2HgI4, a cell relaxed with GGA-PBE gives the computed PXRD pattern in this record (Cu Kα X-rays).

Cell and atoms:
abc: 6.4945 6.4945 13.1231
angles: 90.00 90.00 90.00
Space group I-4 (No. 82)
Asymmetric unit:
Ag 0.0000 0.0000 0.0000 x2
Ag 0.0000 0.5000 0.2500 x2
Hg 0.0000 0.0000 0.5000 x2
I 0.2381 0.7392 0.8692 x8

Largest 10 diffraction maxima, low angle first, 10° ≤ 2θ ≤ 90°:
h k l, Position (°2θ), I_rel
1 0 1, 15.2, 91
1 1 2, 23.6, 1000
2 0 4, 39.0, 525
2 2 0, 39.2, 259
1 1 6, 46.0, 162
3 1 2, 46.3, 318
4 0 0, 56.7, 85
3 1 6, 62.0, 129
2 2 8, 70.6, 86
4 2 4, 71.0, 169